(1)
The following is a computed powder diffractogram of CsUTe3. It was derived from the PBE geometry in Alexandria, using λ = 1.5418 Å (Cu Kα).
Intensities are scaled so that the largest is 100.

Crystal structure
abc: 9.2199 9.2199 9.2199
angles: 51.19 51.19 51.19
Sites, in units of the cell vectors:
Cs1 0.1154 0.1154 0.1154
Cs2 0.8846 0.8846 0.8846
U1 0.3335 0.3335 0.3335
U2 0.6665 0.6665 0.6665
Te1 0.0816 0.5796 0.5796
Te2 0.4204 0.4204 0.9184
Te3 0.4204 0.9184 0.4204
Te4 0.5796 0.0816 0.5796
Te5 0.5796 0.5796 0.0816
Te6 0.9184 0.4204 0.4204

Most intense lines, 10° ≤ 2θ ≤ 90°, by intensity:
| d (Å) | I/Imax |
| --- | --- |
| 2.800 | 100 |
| 1.992 | 96 |
| 2.990 | 68 |
| 2.821 | 67 |
| 2.214 | 60 |
| 3.414 | 58 |
| 5.979 | 58 |
| 3.985 | 58 |
| 6.630 | 44 |
| 4.524 | 42 |


(2)
The following is a computed powder diffractogram of Sc9Sn3N2. It was derived from the PBE geometry in Alexandria, using λ = 1.5418 Å (Cu Kα).
Intensities are scaled so that the largest is 100.

Crystal structure
abc: 6.3429 6.3429 7.7805
angles: 90.00 90.00 120.00
Sites, in units of the cell vectors:
Sc1 0.0000 0.5000 0.0000
Sc2 0.1692 0.3385 0.6707
Sc3 0.1692 0.8308 0.6707
Sc4 0.3385 0.1692 0.3293
Sc5 0.5000 0.0000 0.0000
Sc6 0.5000 0.5000 0.0000
Sc7 0.6615 0.8308 0.6707
Sc8 0.8308 0.1692 0.3293
Sc9 0.8308 0.6615 0.3293
Sn1 0.0000 0.0000 0.0000
Sn2 0.3333 0.6667 0.3356
Sn3 0.6667 0.3333 0.6644
N1 0.3333 0.6667 0.8382
N2 0.6667 0.3333 0.1618

Most intense lines, 10° ≤ 2θ ≤ 90°, by intensity:
| d (Å) | I/Imax |
| --- | --- |
| 2.591 | 100 |
| 2.244 | 56 |
| 1.353 | 37 |
| 1.587 | 36 |
| 3.173 | 31 |
| 4.487 | 20 |
| 1.832 | 14 |
| 2.007 | 12 |
| 1.295 | 9 |
| 1.496 | 7 |


Copy entry 1 word for word.
The following is a computed powder diffractogram of CsUTe3. It was derived from the PBE geometry in Alexandria, using λ = 1.5418 Å (Cu Kα).
Intensities are scaled so that the largest is 100.

Crystal structure
abc: 9.2199 9.2199 9.2199
angles: 51.19 51.19 51.19
Sites, in units of the cell vectors:
Cs1 0.1154 0.1154 0.1154
Cs2 0.8846 0.8846 0.8846
U1 0.3335 0.3335 0.3335
U2 0.6665 0.6665 0.6665
Te1 0.0816 0.5796 0.5796
Te2 0.4204 0.4204 0.9184
Te3 0.4204 0.9184 0.4204
Te4 0.5796 0.0816 0.5796
Te5 0.5796 0.5796 0.0816
Te6 0.9184 0.4204 0.4204

Most intense lines, 10° ≤ 2θ ≤ 90°, by intensity:
| d (Å) | I/Imax |
| --- | --- |
| 2.800 | 100 |
| 1.992 | 96 |
| 2.990 | 68 |
| 2.821 | 67 |
| 2.214 | 60 |
| 3.414 | 58 |
| 5.979 | 58 |
| 3.985 | 58 |
| 6.630 | 44 |
| 4.524 | 42 |